[1]
Simulated X-ray diffraction stick pattern
Compound: Mn3Co3Te2O12
Radiation: Cu Ka
Structure: a cell relaxed with GGA+U
Kinematic intensities with the Lorentz-polarization factor, no thermal factor.

Crystal structure
Unit cell a=6.2195 b=6.2398 c=6.2529 alpha=90.28 beta=90.13 gamma=90.33
Element x y z (fractional)
Mn 0.0000 0.0000 0.0000
Mn 0.1838 0.5141 0.3009
Mn 0.4862 0.6991 0.8145
Co 0.3830 0.2048 0.6829
Co 0.6926 0.3896 0.1981
Co 0.8734 0.8986 0.5083
Te 0.4411 0.9545 0.2547
Te 0.9319 0.4459 0.7467
O 0.0134 0.1495 0.6791
O 0.1417 0.8649 0.3034
O 0.2336 0.5086 0.6814
O 0.3526 0.0017 0.9572
O 0.3970 0.2536 0.3388
O 0.4895 0.6557 0.1670
O 0.5252 0.9134 0.5543
O 0.6344 0.3761 0.8244
O 0.7411 0.0401 0.2155
O 0.8631 0.5225 0.4511
O 0.8660 0.7477 0.8075
O 0.9916 0.3818 0.0481

The 12 most intense peaks (2θ = 5–70°), in order of falling intensity:
Position (°2θ), I_rel
35.26, 1000
35.17, 924
20.11, 904
28.58, 901
55.01, 746
31.99, 651
32.10, 613
20.19, 558
46.07, 445
28.71, 444
24.83, 378
45.88, 362

[2]
Simulated X-ray diffraction stick pattern
Compound: MnCo2TeO6
Radiation: Cu Ka
Structure: a cell relaxed with GGA+U
Kinematic intensities with the Lorentz-polarization factor, no thermal factor.

Crystal structure
Unit cell a=6.1908 b=6.2057 c=6.2311 alpha=90.11 beta=90.37 gamma=90.31
Element x y z (fractional)
Mn 0.0000 0.0000 0.0000
Mn 0.3061 0.5101 0.1844
Co 0.1072 0.1282 0.4923
Co 0.4906 0.8209 0.6942
Co 0.6168 0.3066 0.8018
Co 0.7959 0.6168 0.3155
Te 0.0523 0.5636 0.7455
Te 0.5574 0.0641 0.2527
O 0.0029 0.6503 0.0446
O 0.0964 0.4702 0.4501
O 0.1488 0.8620 0.6949
O 0.2553 0.1336 0.1896
O 0.3546 0.5176 0.8339
O 0.4843 0.1309 0.5523
O 0.4913 0.7638 0.3227
O 0.6180 0.9991 0.9498
O 0.6298 0.3612 0.1768
O 0.7521 0.6141 0.6544
O 0.8551 0.9894 0.3225
O 0.9600 0.2661 0.7926

The 12 most intense peaks (2θ = 5–70°), in order of falling intensity:
Position (°2θ), I_rel
35.42, 1000
20.19, 818
28.81, 790
35.31, 679
32.22, 640
55.51, 524
20.30, 490
46.40, 478
32.11, 428
28.65, 406
55.16, 380
46.25, 360

[3]
Simulated X-ray diffraction stick pattern
Compound: MnV4CoO12
Radiation: Cu Ka
Structure: a cell relaxed with GGA+U
Kinematic intensities with the Lorentz-polarization factor, no thermal factor.

Crystal structure
Unit cell a=6.8382 b=6.8382 c=5.8845 alpha=105.19 beta=105.19 gamma=84.13
Element x y z (fractional)
Mn 0.0000 0.0000 0.0000
V 0.2911 0.3054 0.5168
V 0.4731 0.1210 0.0131
V 0.6946 0.7089 0.4832
V 0.8790 0.5269 0.9869
Co 0.1736 0.8264 0.5000
O 0.0499 0.7154 0.1113
O 0.1220 0.1130 0.4023
O 0.1761 0.5371 0.5424
O 0.2846 0.9501 0.8887
O 0.4452 0.2714 0.3050
O 0.4462 0.2794 0.8061
O 0.4629 0.8239 0.4576
O 0.7021 0.0025 0.0427
O 0.7206 0.5538 0.1939
O 0.7286 0.5548 0.6950
O 0.8870 0.8780 0.5977
O 0.9975 0.2979 0.9573

The 12 most intense peaks (2θ = 5–70°), in order of falling intensity:
Position (°2θ), I_rel
27.93, 1000
29.85, 617
19.38, 456
32.52, 445
18.29, 368
23.45, 290
34.98, 267
50.66, 227
44.47, 225
13.43, 207
25.29, 194
54.25, 174

[4]
Simulated X-ray diffraction stick pattern
Compound: NaCo2Mo2O10
Radiation: Cu Ka
Structure: a cell relaxed with GGA+U
Kinematic intensities with the Lorentz-polarization factor, no thermal factor.

Crystal structure
Unit cell a=5.8059 b=5.8059 c=8.1055 alpha=113.12 beta=113.12 gamma=61.23
Element x y z (fractional)
Na 0.0000 0.0000 0.0000
Co 0.0000 0.5000 0.5000
Co 0.5000 0.0000 0.5000
Mo 0.4288 0.4288 0.2351
Mo 0.5712 0.5712 0.7649
O 0.1892 0.1892 0.5775
O 0.2107 0.7001 0.7427
O 0.2817 0.2817 0.0121
O 0.2999 0.7893 0.2573
O 0.3418 0.3418 0.3986
O 0.6582 0.6582 0.6014
O 0.7001 0.2107 0.7427
O 0.7183 0.7183 0.9879
O 0.7893 0.2999 0.2573
O 0.8108 0.8108 0.4225

The 12 most intense peaks (2θ = 5–70°), in order of falling intensity:
Position (°2θ), I_rel
18.01, 1000
23.63, 914
26.70, 627
35.42, 578
27.97, 563
51.61, 525
12.27, 521
30.84, 518
38.67, 294
19.08, 272
57.79, 270
32.75, 244

[5]
Simulated X-ray diffraction stick pattern
Compound: NaCo2Mo2O10
Radiation: Cu Ka
Structure: a cell relaxed with GGA+U
Kinematic intensities with the Lorentz-polarization factor, no thermal factor.

Crystal structure
Unit cell a=5.7955 b=5.8290 c=7.8252 alpha=93.15 beta=108.81 gamma=118.52
Element x y z (fractional)
Na 0.0000 0.0000 0.0000
Co 0.0000 0.0000 0.5000
Co 0.5000 0.5000 0.5000
Mo 0.1919 0.5690 0.7629
Mo 0.8081 0.4310 0.2371
O 0.0441 0.2128 0.7456
O 0.0534 0.3399 0.3988
O 0.2701 0.7213 0.9870
O 0.4020 0.2030 0.5775
O 0.4699 0.3051 0.2621
O 0.5301 0.6949 0.7379
O 0.5980 0.7970 0.4225
O 0.7299 0.2787 0.0130
O 0.9466 0.6601 0.6012
O 0.9559 0.7872 0.2544

The 12 most intense peaks (2θ = 5–70°), in order of falling intensity:
Position (°2θ), I_rel
23.59, 1000
12.35, 595
17.89, 588
28.20, 588
18.08, 529
51.45, 485
26.59, 354
35.36, 337
26.78, 335
19.01, 310
35.21, 308
39.01, 307

[6]
Simulated X-ray diffraction stick pattern
Compound: CoMoO3
Radiation: Cu Ka
Structure: a cell relaxed with GGA+U
Kinematic intensities with the Lorentz-polarization factor, no thermal factor.

Crystal structure
Unit cell a=3.9836 b=3.9836 c=3.9836 alpha=90.00 beta=90.00 gamma=90.00
Element x y z (fractional)
Co 0.0000 0.0000 0.0000
Mo 0.5000 0.5000 0.5000
O 0.0000 0.5000 0.5000
O 0.5000 0.0000 0.5000
O 0.5000 0.5000 0.0000

The 6 most intense peaks (2θ = 5–70°), in order of falling intensity:
Position (°2θ), I_rel
31.77, 1000
56.59, 373
45.54, 368
66.37, 211
22.32, 172
51.28, 63